No. 1
Diffraction record for NdCrSb3. The XRD peak list is theoretical, not measured: it uses a structure optimized by DFT (PBE) and a wavelength of 1.5418 Å.
Intensities are scaled so that the largest is 100.

Largest 6 diffraction maxima, sorted by position, 2θ = 15–90°:
28.89°, intensity 22
31.66°, intensity 56
32.27°, intensity 36
34.23°, intensity 100
41.21°, intensity 55
55.00°, intensity 22

Structural model:
```
NdCrSb3
1.0
13.078 0.000 0.000
0.000 6.268 0.000
0.000 0.000 6.126
Nd Cr Sb
4 4 12
Direct
0.190 0.005 0.250
0.190 0.495 0.750
0.810 0.505 0.250
0.810 0.995 0.750
0.406 0.750 0.000
0.406 0.750 0.500
0.594 0.250 0.000
0.594 0.250 0.500
0.002 0.750 0.000
0.002 0.750 0.500
0.280 0.501 0.250
0.280 0.999 0.750
0.437 0.101 0.250
0.437 0.399 0.750
0.563 0.601 0.250
0.563 0.899 0.750
0.720 0.001 0.250
0.720 0.499 0.750
0.998 0.250 0.000
0.998 0.250 0.500
```

No. 2
Diffraction record for CrNi2. The XRD peak list is theoretical, not measured: it uses a structure optimized by DFT (PBE) and a wavelength of 1.5418 Å.
Intensities are scaled so that the largest is 100.

Largest 6 diffraction maxima, sorted by position, 2θ = 15–90°:
27.72°, intensity 1
44.55°, intensity 100
51.17°, intensity 16
52.28°, intensity 30
76.18°, intensity 18
77.07°, intensity 9

Structural model:
```
CrNi2
1.0
-1.238 1.785 3.711
1.238 -1.785 3.711
1.238 1.785 -3.711
Cr Ni
1 2
Direct
0.000 0.000 0.000
0.334 0.334 0.000
0.666 0.666 0.000
```

No. 3
Diffraction record for Cr3Ni. The XRD peak list is theoretical, not measured: it uses a structure optimized by DFT (PBE) and a wavelength of 1.5418 Å.
Intensities are scaled so that the largest is 100.

Largest 6 diffraction maxima, sorted by position, 2θ = 15–90°:
43.15°, intensity 100
44.68°, intensity 90
47.67°, intensity 36
52.85°, intensity 52
73.90°, intensity 34
85.62°, intensity 11

Structural model:
```
Cr3Ni
1.0
2.509 -3.815 0.000
2.509 3.815 0.000
0.000 0.000 2.394
Cr Ni
3 1
Direct
0.000 0.000 0.000
0.000 0.500 0.500
0.500 0.000 0.500
0.500 0.500 0.000
```

No. 4
Diffraction record for Cr3Ni7. The XRD peak list is theoretical, not measured: it uses a structure optimized by DFT (PBE) and a wavelength of 1.5418 Å.
Intensities are scaled so that the largest is 100.

Largest 6 diffraction maxima, sorted by position, 2θ = 15–90°:
44.36°, intensity 100
50.28°, intensity 17
52.17°, intensity 15
52.60°, intensity 15
75.38°, intensity 9
75.73°, intensity 9

Structural model:
```
Cr3Ni7
1.0
6.388 -1.740 0.000
6.388 1.740 0.000
-0.826 0.000 4.981
Cr Ni
3 7
Direct
0.000 0.000 0.000
0.207 0.207 0.596
0.793 0.793 0.404
0.000 0.000 0.500
0.198 0.198 0.096
0.400 0.400 0.206
0.401 0.401 0.703
0.599 0.599 0.297
0.600 0.600 0.794
0.802 0.802 0.904
```

No. 5
Diffraction record for Cr2Ni5. The XRD peak list is theoretical, not measured: it uses a structure optimized by DFT (PBE) and a wavelength of 1.5418 Å.
Intensities are scaled so that the largest is 100.

Largest 6 diffraction maxima, sorted by position, 2θ = 15–90°:
40.08°, intensity 44
44.08°, intensity 38
44.97°, intensity 99
46.42°, intensity 35
47.56°, intensity 100
49.49°, intensity 90

Structural model:
```
Cr2Ni5
1.0
2.982 -5.471 0.000
2.982 5.471 0.000
0.000 0.000 4.982
Cr Ni
4 10
Direct
0.083 0.277 0.000
0.277 0.083 0.500
0.723 0.917 0.500
0.917 0.723 0.000
0.097 0.339 0.500
0.271 0.729 0.250
0.271 0.729 0.750
0.339 0.097 0.000
0.500 0.500 0.250
0.500 0.500 0.750
0.661 0.903 0.000
0.729 0.271 0.250
0.729 0.271 0.750
0.903 0.661 0.500
```

No. 6
Diffraction record for CrNi2. The XRD peak list is theoretical, not measured: it uses a structure optimized by DFT (PBE) and a wavelength of 1.5418 Å.
Intensities are scaled so that the largest is 100.

Largest 6 diffraction maxima, sorted by position, 2θ = 15–90°:
42.85°, intensity 30
43.67°, intensity 47
44.04°, intensity 36
47.80°, intensity 100
51.19°, intensity 24
83.21°, intensity 17

Structural model:
```
CrNi2
1.0
2.459 0.000 0.000
0.000 6.218 2.179
0.000 -6.218 2.179
Cr Ni
2 4
Direct
0.000 0.161 0.839
0.000 0.839 0.161
0.000 0.693 0.693
0.500 0.197 0.197
0.500 0.335 0.674
0.500 0.674 0.335
```

Number 1 is which compound?
NdCrSb3